(1)
# Cu3Ag5
Theoretical X-ray powder pattern, a wavelength of 1.5418 Å. Input: the PBE geometry in OQMD.
Neutral-atom scattering factors, no anomalous dispersion.

Most intense lines, 2θ = 10–90°, sorted by position:
d (Å)  Rel. int.
2.300  100
2.285  97
2.019  34
1.987  32
1.951  29
1.416  20

Structure:
a = 5.643 Å, b = 3.975 Å, c = 6.173 Å
α = 90.00°, β = 115.22°, γ = 90.00°
Space group P2/m (No. 10)
Inequivalent atoms, fractional coordinates:
Cu1 0.000 0.000 0.000
Cu2 0.375 0.500 0.253
Ag1 0.123 0.500 0.767
Ag2 0.253 0.000 0.491
Ag3 0.500 0.000 0.000


(2)
# Cu4Ag5
Theoretical X-ray powder pattern, a wavelength of 1.5418 Å. Input: the PBE geometry in OQMD.
Neutral-atom scattering factors, no anomalous dispersion.

Most intense lines, 2θ = 10–90°, sorted by position:
d (Å)  Rel. int.
2.291  100
2.234  28
1.971  59
1.407  19
1.381  16
1.191  20

Structure:
a = 2.8148 Å, b = 2.8148 Å, c = 20.1091 Å
α = 90.00°, β = 90.00°, γ = 120.00°
Space group P-3m1 (No. 164)
Inequivalent atoms, fractional coordinates:
Cu1 0.3333 0.6667 0.0480
Cu2 0.3333 0.6667 0.3913
Ag1 0.0000 0.0000 0.1586
Ag2 0.0000 0.0000 0.5000
Ag3 0.3333 0.6667 0.7176


(3)
# CuAg7
Theoretical X-ray powder pattern, a wavelength of 1.5418 Å. Input: the PBE geometry in OQMD.
Neutral-atom scattering factors, no anomalous dispersion.

Most intense lines, 2θ = 10–90°, sorted by position:
d (Å)  Rel. int.
2.368  100
2.357  32
2.052  43
2.041  21
1.449  20
1.233  18

Structure:
a = 5.016 Å, b = 2.908 Å, c = 9.581 Å
α = 90.00°, β = 100.29°, γ = 90.00°
Space group P2/m (No. 10)
Inequivalent atoms, fractional coordinates:
Cu1 0.000 0.000 0.000
Ag1 0.000 0.500 0.500
Ag2 0.243 0.500 0.240
Ag3 0.248 0.000 0.754
Ag4 0.500 0.000 0.500
Ag5 0.500 0.500 0.000


(4)
# Cu3Ag5
Theoretical X-ray powder pattern, a wavelength of 1.5418 Å. Input: the PBE geometry in OQMD.
Neutral-atom scattering factors, no anomalous dispersion.

Most intense lines, 2θ = 10–90°, sorted by position:
d (Å)  Rel. int.
2.304  100
2.274  25
1.989  58
1.413  20
1.399  12
1.200  18

Structure:
a = 2.8268 Å, b = 2.8268 Å, c = 54.5642 Å
α = 90.00°, β = 90.00°, γ = 120.00°
Space group R3m (No. 160, hexagonal axes)
Inequivalent atoms, fractional coordinates:
Cu1 0.0000 0.0000 0.0000
Cu2 0.0000 0.0000 0.1175
Cu3 0.0000 0.0000 0.7485
Ag1 0.0000 0.0000 0.2481
Ag2 0.0000 0.0000 0.3740
Ag3 0.0000 0.0000 0.4915
Ag4 0.0000 0.0000 0.6264
Ag5 0.0000 0.0000 0.8700


(5)
# CuAg9
Theoretical X-ray powder pattern, a wavelength of 1.5418 Å. Input: the PBE geometry in OQMD.
Neutral-atom scattering factors, no anomalous dispersion.

Most intense lines, 2θ = 10–90°, sorted by position:
d (Å)  Rel. int.
2.379  100
2.370  99
2.056  96
1.454  39
1.242  34
1.238  17

Structure:
a = 6.506 Å, b = 7.714 Å, c = 14.493 Å
α = 79.12°, β = 77.10°, γ = 85.20°
Space group P1 (No. 1)
Inequivalent atoms, fractional coordinates:
Cu1 0.000 0.000 0.000
Cu2 0.007 0.000 0.606
Cu3 0.369 0.879 0.679
Cu4 0.755 0.757 0.952
Ag1 0.001 0.003 0.199
Ag2 0.002 0.002 0.406
Ag3 0.004 0.997 0.803
Ag4 0.118 0.636 0.025
Ag5 0.124 0.631 0.828
Ag6 0.125 0.629 0.227
Ag7 0.125 0.636 0.630
Ag8 0.126 0.628 0.429
Ag9 0.250 0.242 0.654
Ag10 0.250 0.249 0.455
Ag11 0.250 0.251 0.051
Ag12 0.251 0.249 0.855
Ag13 0.253 0.253 0.252
Ag14 0.372 0.880 0.485
Ag15 0.374 0.879 0.073
Ag16 0.376 0.878 0.278
Ag17 0.378 0.879 0.876
Ag18 0.496 0.507 0.704
Ag19 0.500 0.501 0.505
Ag20 0.501 0.504 0.302
Ag21 0.503 0.508 0.099
Ag22 0.505 0.505 0.904
Ag23 0.627 0.127 0.329
Ag24 0.629 0.124 0.726
Ag25 0.631 0.123 0.532
Ag26 0.631 0.129 0.125
Ag27 0.639 0.119 0.928
Ag28 0.747 0.758 0.754
Ag29 0.749 0.756 0.557
Ag30 0.750 0.754 0.354
Ag31 0.752 0.759 0.146
Ag32 0.876 0.378 0.379
Ag33 0.876 0.380 0.177
Ag34 0.877 0.378 0.777
Ag35 0.877 0.379 0.977
Ag36 0.879 0.374 0.579


(6)
# Cu3Ag2
Theoretical X-ray powder pattern, a wavelength of 1.5418 Å. Input: the PBE geometry in OQMD.
Neutral-atom scattering factors, no anomalous dispersion.

Most intense lines, 2θ = 10–90°, sorted by position:
d (Å)  Rel. int.
2.225  100
1.934  16
1.925  16
1.921  16
1.165  11
1.159  11

Structure:
a = 8.642 Å, b = 3.842 Å, c = 8.615 Å
α = 90.00°, β = 90.18°, γ = 90.00°
Space group Cm (No. 8)
Inequivalent atoms, fractional coordinates:
Cu1 0.000 0.000 0.000
Cu2 0.001 0.500 0.507
Cu3 0.097 0.000 0.706
Cu4 0.195 0.000 0.409
Cu5 0.198 0.500 0.908
Cu6 0.294 0.000 0.099
Ag1 0.099 0.500 0.197
Ag2 0.292 0.500 0.607
Ag3 0.398 0.500 0.304
Ag4 0.402 0.000 0.812


(7)
# Cu3Ag5
Theoretical X-ray powder pattern, a wavelength of 1.5418 Å. Input: the PBE geometry in OQMD.
Neutral-atom scattering factors, no anomalous dispersion.

Most intense lines, 2θ = 10–90°, sorted by position:
d (Å)  Rel. int.
2.307  100
2.272  23
1.990  56
1.415  20
1.206  11
1.201  16

Structure:
a = 2.8305 Å, b = 2.8305 Å, c = 54.5282 Å
α = 90.00°, β = 90.00°, γ = 120.00°
Space group R3m (No. 160, hexagonal axes)
Inequivalent atoms, fractional coordinates:
Cu1 0.0000 0.0000 0.0000
Cu2 0.0000 0.0000 0.1163
Cu3 0.0000 0.0000 0.7477
Ag1 0.0000 0.0000 0.2474
Ag2 0.0000 0.0000 0.3738
Ag3 0.0000 0.0000 0.4902
Ag4 0.0000 0.0000 0.6262
Ag5 0.0000 0.0000 0.8689


(8)
# Cu4Ag5
Theoretical X-ray powder pattern, a wavelength of 1.5418 Å. Input: the PBE geometry in OQMD.
Neutral-atom scattering factors, no anomalous dispersion.

Most intense lines, 2θ = 10–90°, sorted by position:
d (Å)  Rel. int.
2.290  87
2.248  100
2.040  61
1.837  26
1.365  30
1.208  20

Structure:
a = 2.843 Å, b = 3.673 Å, c = 26.368 Å
α = 90.00°, β = 90.00°, γ = 90.00°
Space group Immm (No. 71)
Inequivalent atoms, fractional coordinates:
Cu1 0.000 0.000 0.054
Cu2 0.000 0.000 0.399
Ag1 0.000 0.000 0.155
Ag2 0.000 0.000 0.282
Ag3 0.000 0.000 0.500


(9)
# Cu4Ag5
Theoretical X-ray powder pattern, a wavelength of 1.5418 Å. Input: the PBE geometry in OQMD.
Neutral-atom scattering factors, no anomalous dispersion.

Most intense lines, 2θ = 10–90°, sorted by position:
d (Å)  Rel. int.
2.290  100
2.236  29
1.971  59
1.407  19
1.381  18
1.191  20

Structure:
a = 4.8729 Å, b = 4.8729 Å, c = 20.1239 Å
α = 90.00°, β = 90.00°, γ = 120.00°
Space group R3 (No. 146, hexagonal axes)
Inequivalent atoms, fractional coordinates:
Cu1 0.0000 0.0000 0.0000
Cu2 0.9996 0.6807 0.8964
Ag1 0.0000 0.0000 0.3345
Ag2 0.0000 0.0000 0.6678
Ag3 0.0010 0.3307 0.1204


(10)
# Cu3Ag5
Theoretical X-ray powder pattern, a wavelength of 1.5418 Å. Input: the PBE geometry in OQMD.
Neutral-atom scattering factors, no anomalous dispersion.

Most intense lines, 2θ = 10–90°, sorted by position:
d (Å)  Rel. int.
2.295  100
1.993  16
1.984  32
1.406  24
1.201  11
1.196  11

Structure:
a = 5.603 Å, b = 7.974 Å, c = 5.622 Å
α = 90.00°, β = 90.00°, γ = 90.00°
Space group C222 (No. 21)
Inequivalent atoms, fractional coordinates:
Cu1 0.000 0.000 0.000
Cu2 0.250 0.250 0.245
Ag1 0.000 0.000 0.500
Ag2 0.000 0.500 0.000
Ag3 0.000 0.500 0.500
Ag4 0.250 0.250 0.759


(11)
# Cu3Ag2
Theoretical X-ray powder pattern, a wavelength of 1.5418 Å. Input: the PBE geometry in OQMD.
Neutral-atom scattering factors, no anomalous dispersion.

Most intense lines, 2θ = 10–90°, sorted by position:
d (Å)  Rel. int.
2.234  100
2.227  51
2.210  50
1.956  66
1.875  30
1.358  19

Structure:
a = 4.670 Å, b = 13.904 Å, c = 4.634 Å
α = 90.00°, β = 107.45°, γ = 90.00°
Space group C2 (No. 5)
Inequivalent atoms, fractional coordinates:
Cu1 0.000 0.000 0.000
Cu2 0.000 0.091 0.500
Cu3 0.000 0.182 0.000
Cu4 0.000 0.401 0.000
Cu5 0.000 0.591 0.000
Cu6 0.000 0.903 0.500
Ag1 0.000 0.293 0.500
Ag2 0.000 0.493 0.500
Ag3 0.000 0.690 0.500
Ag4 0.000 0.802 0.000


(12)
# Cu3Ag7
Theoretical X-ray powder pattern, a wavelength of 1.5418 Å. Input: the PBE geometry in OQMD.
Neutral-atom scattering factors, no anomalous dispersion.

Most intense lines, 2θ = 10–90°, sorted by position:
d (Å)  Rel. int.
2.317  100
2.304  33
2.045  23
2.013  22
1.955  18
1.158  9

Structure:
a = 4.931 Å, b = 4.943 Å, c = 7.402 Å
α = 107.50°, β = 104.21°, γ = 99.66°
Space group P-1 (No. 2)
Inequivalent atoms, fractional coordinates:
Cu1 0.000 0.000 0.000
Cu2 0.275 0.601 0.094
Ag1 0.118 0.201 0.720
Ag2 0.190 0.401 0.390
Ag3 0.423 0.791 0.813
Ag4 0.500 0.000 0.500